LaPmCd4: computed powder diffractogram (λ = 1.5418 Å (Cu Kα)), based on a structure optimized by DFT (GGA-PBE).

The 10 most intense peaks (10 to 90 degrees two-theta), in order of rising 2θ:
2θ/deg, d [Å], I/Imax
32.68, 2.741, 100
35.16, 2.552, 86
48.76, 1.868, 32
52.39, 1.746, 9
61.50, 1.508, 21
61.57, 1.506, 11
63.06, 1.474, 10
64.67, 1.441, 28
83.54, 1.157, 9
86.39, 1.126, 15

Structural model:
```
LaPmCd4
1.0
3.493 0.000 0.000
0.000 5.110 0.000
0.000 0.000 8.831
La Pm Cd
1 1 4
Direct
0.000 0.000 0.000
0.000 0.500 0.500
0.500 0.000 0.336
0.500 0.000 0.664
0.500 0.500 0.170
0.500 0.500 0.830
```


La4Cd2Os: computed powder diffractogram (λ = 1.5418 Å (Cu Kα)), based on a structure optimized by DFT (GGA-PBE).

The 10 most intense peaks (10 to 90 degrees two-theta), in order of rising 2θ:
2θ/deg, d [Å], I/Imax
11.35, 7.795, 28
27.28, 3.269, 37
29.58, 3.019, 100
32.49, 2.756, 89
34.14, 2.626, 32
34.52, 2.598, 45
36.39, 2.469, 49
37.60, 2.392, 51
44.42, 2.040, 24
51.95, 1.760, 32

Structural model:
```
La4Cd2Os
1.0
5.866 -2.392 0.000
5.866 2.392 0.000
-4.584 0.000 7.795
La Cd Os
4 2 1
Direct
0.069 0.069 0.341
0.332 0.332 0.941
0.668 0.668 0.059
0.931 0.931 0.659
0.358 0.358 0.338
0.642 0.642 0.662
0.000 0.000 0.000
```


Repeat the first record exactly.
LaPmCd4: computed powder diffractogram (λ = 1.5418 Å (Cu Kα)), based on a structure optimized by DFT (GGA-PBE).

The 10 most intense peaks (10 to 90 degrees two-theta), in order of rising 2θ:
2θ/deg, d [Å], I/Imax
32.68, 2.741, 100
35.16, 2.552, 86
48.76, 1.868, 32
52.39, 1.746, 9
61.50, 1.508, 21
61.57, 1.506, 11
63.06, 1.474, 10
64.67, 1.441, 28
83.54, 1.157, 9
86.39, 1.126, 15

Structural model:
```
LaPmCd4
1.0
3.493 0.000 0.000
0.000 5.110 0.000
0.000 0.000 8.831
La Pm Cd
1 1 4
Direct
0.000 0.000 0.000
0.000 0.500 0.500
0.500 0.000 0.336
0.500 0.000 0.664
0.500 0.500 0.170
0.500 0.500 0.830
```


Number 1 is which compound?
LaPmCd4